Entry 1:
Calculated powder X-ray diffraction pattern of RbCu4AsS4 for λ = 1.5418 Å (Cu Kα), from a cell relaxed with GGA-PBE.

Cell and atoms:
```
data_RbCu4AsS4
_chemical_formula_sum 'Rb2 Cu8 As2 S8'
_cell_length_a 6.6843
_cell_length_b 6.3804
_cell_length_c 9.7007
_cell_angle_alpha 90.00
_cell_angle_beta 103.96
_cell_angle_gamma 90.00
_symmetry_space_group_name_H-M 'P 1 21 1'
_symmetry_Int_Tables_number 4
loop_
_symmetry_equiv_pos_as_xyz
'x,y,z'
'-x,y+1/2,-z'
loop_
_atom_site_label
_atom_site_fract_x
_atom_site_fract_y
_atom_site_fract_z
_atom_site_occupancy
Rb1 0.1766 0.0000 0.1377 1
Cu1 0.1418 0.4759 0.3951 1
Cu2 0.2080 0.1203 0.5576 1
Cu3 0.4257 0.1048 0.8748 1
Cu4 0.4808 0.8289 0.5143 1
As1 0.2997 0.6260 0.7430 1
S1 0.0380 0.4254 0.6011 1
S2 0.1204 0.9029 0.7994 1
S3 0.3435 0.4283 0.9478 1
S4 0.4363 0.5980 0.3401 1
```

Top 6 peaks for 10 to 80 degrees two-theta, sorted by position:
Position (°2θ), Rel. int., (hkl)
23.49, 34, 0 1 2
27.97, 30, 0 2 0
29.50, 61, 1 1 2
30.32, 34, 2 1 -1
31.25, 32, 2 0 1
31.76, 100, 1 1 -3


Entry 2:
Calculated powder X-ray diffraction pattern of Zr2InC for λ = 1.5418 Å (Cu Kα), from a cell relaxed with GGA-PBE.

Cell and atoms:
```
data_Zr2InC
_chemical_formula_sum 'Zr4 In2 C2'
_cell_length_a 3.3718
_cell_length_b 3.3718
_cell_length_c 15.0972
_cell_angle_alpha 90.00
_cell_angle_beta 90.00
_cell_angle_gamma 120.00
_symmetry_space_group_name_H-M 'P -6 m 2'
_symmetry_Int_Tables_number 187
_symmetry_space_group_name_Hall 'P -6 2'
loop_
_atom_site_label
_atom_site_fract_x
_atom_site_fract_y
_atom_site_fract_z
_atom_site_occupancy
Zr1 0.0000 0.0000 0.1674 1
Zr2 0.6667 0.3333 0.3314 1
In1 0.0000 0.0000 0.5000 1
In2 0.6667 0.3333 0.0000 1
C1 0.3333 0.6667 0.2496 1
```

Top 6 peaks for 10 to 80 degrees two-theta, sorted by position:
Position (°2θ), Rel. int., (hkl)
30.62, 21, 1 0 0
35.54, 100, 1 0 3
35.68, 20, 0 0 6
54.42, 20, 1 1 0
64.01, 17, 1 0 9
66.75, 34, 1 1 6


Entry 3:
Calculated powder X-ray diffraction pattern of K2Dy4Au4Se9 for λ = 1.5418 Å (Cu Kα), from a cell relaxed with GGA-PBE.

Cell and atoms:
```
data_K2Dy4Au4Se9
_chemical_formula_sum 'K4 Dy8 Au8 Se18'
_cell_length_a 14.6372
_cell_length_b 4.2582
_cell_length_c 16.8684
_cell_angle_alpha 90.00
_cell_angle_beta 108.81
_cell_angle_gamma 90.00
_symmetry_space_group_name_H-M 'C 1 2/m 1'
_symmetry_Int_Tables_number 12
loop_
_symmetry_equiv_pos_as_xyz
'x,y,z'
'-x,-y,-z'
'-x,y,-z'
'x,-y,z'
'x+1/2,y+1/2,z'
'-x+1/2,-y+1/2,-z'
'-x+1/2,y+1/2,-z'
'x+1/2,-y+1/2,z'
loop_
_atom_site_label
_atom_site_fract_x
_atom_site_fract_y
_atom_site_fract_z
_atom_site_occupancy
K1 0.0448 0.0000 0.2757 1
Dy1 0.1522 0.5000 0.5620 1
Dy2 0.2302 0.0000 0.1066 1
Au1 0.0932 0.5000 0.9839 1
Au2 0.2273 0.0000 0.7216 1
Se1 0.0000 0.0000 0.5000 1
Se2 0.1119 0.5000 0.1423 1
Se3 0.1270 0.5000 0.7250 1
Se4 0.1401 0.0000 0.9170 1
Se5 0.2062 0.5000 0.4059 1
```

Top 6 peaks for 10 to 80 degrees two-theta, sorted by position:
Position (°2θ), Rel. int., (hkl)
12.78, 100, 2 0 0
13.97, 56, 2 0 -2
30.27, 51, 3 1 1
32.93, 58, 3 1 2
35.50, 65, 3 1 -5
42.46, 66, 0 2 0


Entry 4:
Calculated powder X-ray diffraction pattern of Pr2NdCd3Cu2Ag for λ = 1.5418 Å (Cu Kα), from a cell relaxed with GGA-PBE.

Cell and atoms:
```
data_Pr2NdCd3Cu2Ag
_chemical_formula_sum 'Pr4 Nd2 Cd6 Cu4 Ag2'
_cell_length_a 3.9819
_cell_length_b 13.6297
_cell_length_c 7.8604
_cell_angle_alpha 90.00
_cell_angle_beta 90.00
_cell_angle_gamma 90.00
_symmetry_space_group_name_H-M 'A m m 2'
_symmetry_Int_Tables_number 38
loop_
_symmetry_equiv_pos_as_xyz
'x,y,z'
'-x,-y,z'
'-x,y,z'
'x,-y,z'
'x,y+1/2,z+1/2'
'-x,-y+1/2,z+1/2'
'-x,y+1/2,z+1/2'
'x,-y+1/2,z+1/2'
loop_
_atom_site_label
_atom_site_fract_x
_atom_site_fract_y
_atom_site_fract_z
_atom_site_occupancy
Pr1 0.0000 0.2056 0.0000 1
Nd1 0.0000 0.0000 0.6167 1
Cd1 0.5000 0.0000 0.9412 1
Cd2 0.5000 0.1314 0.3380 1
Cu1 0.5000 0.1658 0.7051 1
Ag1 0.0000 0.0000 0.2060 1
```

Top 6 peaks for 10 to 80 degrees two-theta, sorted by position:
Position (°2θ), Rel. int., (hkl)
31.99, 100, 1 3 1
34.66, 90, 1 4 0
34.85, 47, 0 1 3
39.70, 35, 0 3 3
45.56, 23, 2 0 0
64.01, 32, 1 1 5


Entry 5:
Calculated powder X-ray diffraction pattern of LiAl2Cu5 for λ = 1.5418 Å (Cu Kα), from a cell relaxed with GGA-PBE.

Cell and atoms:
```
data_LiAl2Cu5
_chemical_formula_sum 'Li4 Al8 Cu20'
_cell_length_a 5.7835
_cell_length_b 5.7835
_cell_length_c 11.7660
_cell_angle_alpha 90.00
_cell_angle_beta 90.00
_cell_angle_gamma 90.00
_symmetry_space_group_name_H-M 'I 41/a m d'
_symmetry_Int_Tables_number 141
loop_
_symmetry_equiv_pos_as_xyz
'x,y,z'
'-x,-y,-z'
'-y+1/4,x+3/4,z+1/4'
'y+1/4,-x+3/4,-z+1/4'
'-x+1/2,-y,z+1/2'
'x+1/2,y,-z+1/2'
'y+1/4,-x+1/4,z+3/4'
'-y+1/4,x+1/4,-z+3/4'
'x,-y,-z'
'-x,y,z'
'-y+1/4,-x+1/4,-z+3/4'
'y+1/4,x+1/4,z+3/4'
'-x+1/2,y,-z+1/2'
'x+1/2,-y,z+1/2'
'y+1/4,x+3/4,-z+1/4'
'-y+1/4,-x+3/4,z+1/4'
'x+1/2,y+1/2,z+1/2'
'-x+1/2,-y+1/2,-z+1/2'
'-y+3/4,x+1/4,z+3/4'
'y+3/4,-x+1/4,-z+3/4'
'-x,-y+1/2,z'
'x,y+1/2,-z'
'y+3/4,-x+3/4,z+1/4'
'-y+3/4,x+3/4,-z+1/4'
'x+1/2,-y+1/2,-z+1/2'
'-x+1/2,y+1/2,z+1/2'
'-y+3/4,-x+3/4,-z+1/4'
'y+3/4,x+3/4,z+1/4'
'-x,y+1/2,-z'
'x,-y+1/2,z'
'y+3/4,x+1/4,-z+3/4'
'-y+3/4,-x+1/4,z+3/4'
loop_
_atom_site_label
_atom_site_fract_x
_atom_site_fract_y
_atom_site_fract_z
_atom_site_occupancy
Li1 0.0000 0.2500 0.3750 1
Al1 0.0000 0.2500 0.1250 1
Cu1 0.0000 0.2500 0.8750 1
Cu2 0.2476 0.0000 0.5000 1
```

Top 6 peaks for 10 to 80 degrees two-theta, sorted by position:
Position (°2θ), Rel. int., (hkl)
17.08, 13, 1 0 1
30.39, 9, 0 0 4
30.92, 18, 2 0 0
43.91, 100, 2 0 4
44.30, 49, 2 2 0
64.44, 15, 4 0 0


Entry 6:
Calculated powder X-ray diffraction pattern of SmSi2NiGe for λ = 1.5418 Å (Cu Kα), from a cell relaxed with GGA-PBE.

Cell and atoms:
```
data_SmSi2NiGe
_chemical_formula_sum 'Sm4 Si8 Ni4 Ge4'
_cell_length_a 3.9818
_cell_length_b 21.3484
_cell_length_c 4.1113
_cell_angle_alpha 90.00
_cell_angle_beta 90.00
_cell_angle_gamma 90.00
_symmetry_space_group_name_H-M 'C m m m'
_symmetry_Int_Tables_number 65
_symmetry_space_group_name_Hall '-C 2 2'
loop_
_atom_site_label
_atom_site_fract_x
_atom_site_fract_y
_atom_site_fract_z
_atom_site_occupancy
Sm1 0.0000 0.1700 0.0000 1
Si1 0.0000 0.0564 0.5000 1
Si2 0.0000 0.2822 0.5000 1
Ni1 0.0000 0.3890 0.5000 1
Ge1 0.0000 0.4429 0.0000 1
```

Top 6 peaks for 10 to 80 degrees two-theta, sorted by position:
Position (°2θ), Rel. int., (hkl)
25.64, 24, 1 3 0
30.70, 19, 1 5 0
33.30, 23, 0 6 1
33.77, 100, 1 3 1
44.05, 23, 0 0 2
45.56, 21, 2 0 0


Entry 7:
Calculated powder X-ray diffraction pattern of NdGdSb2 for λ = 1.5418 Å (Cu Kα), from a cell relaxed with GGA-PBE.

Cell and atoms:
```
data_NdGdSb2
_chemical_formula_sum 'Nd1 Gd1 Sb2'
_cell_length_a 4.4710
_cell_length_b 4.4710
_cell_length_c 6.3225
_cell_angle_alpha 90.00
_cell_angle_beta 90.00
_cell_angle_gamma 90.00
_symmetry_space_group_name_H-M 'P 4/m m m'
_symmetry_Int_Tables_number 123
_symmetry_space_group_name_Hall '-P 4 2'
loop_
_atom_site_label
_atom_site_fract_x
_atom_site_fract_y
_atom_site_fract_z
_atom_site_occupancy
Nd1 0.0000 0.0000 0.0000 1
Gd1 0.5000 0.5000 0.5000 1
Sb1 0.0000 0.0000 0.5000 1
Sb2 0.5000 0.5000 0.0000 1
```

Top 6 peaks for 10 to 80 degrees two-theta, sorted by position:
Position (°2θ), Rel. int., (hkl)
28.23, 100, 1 1 0
40.35, 76, 2 0 0
49.97, 27, 2 0 2
58.38, 13, 2 2 0
66.09, 35, 3 1 0
73.36, 26, 3 1 2


Entry 8:
Calculated powder X-ray diffraction pattern of YScMo2C3 for λ = 1.5418 Å (Cu Kα), from a cell relaxed with GGA-PBE.

Cell and atoms:
```
data_YScMo2C3
_chemical_formula_sum 'Y2 Sc2 Mo4 C6'
_cell_length_a 11.2372
_cell_length_b 3.3304
_cell_length_c 5.5805
_cell_angle_alpha 90.00
_cell_angle_beta 109.31
_cell_angle_gamma 90.00
_symmetry_space_group_name_H-M 'C 1 m 1'
_symmetry_Int_Tables_number 8
loop_
_symmetry_equiv_pos_as_xyz
'x,y,z'
'x,-y,z'
'x+1/2,y+1/2,z'
'x+1/2,-y+1/2,z'
loop_
_atom_site_label
_atom_site_fract_x
_atom_site_fract_y
_atom_site_fract_z
_atom_site_occupancy
Y1 0.0000 0.0000 0.0000 1
Sc1 0.2333 0.0000 0.6341 1
Mo1 0.2617 0.5000 0.1866 1
Mo2 0.4666 0.0000 0.4541 1
C1 0.1177 0.5000 0.3351 1
C2 0.3395 0.0000 0.0660 1
C3 0.3799 0.5000 0.5629 1
```

Top 6 peaks for 10 to 80 degrees two-theta, sorted by position:
Position (°2θ), Rel. int., (hkl)
16.83, 28, 0 0 1
32.58, 41, 2 0 -2
33.81, 39, 4 0 0
34.38, 100, 1 1 1
37.14, 92, 3 1 -1
57.40, 29, 1 1 -3


Entry 9:
Calculated powder X-ray diffraction pattern of Li2Tc2O5 for λ = 1.5418 Å (Cu Kα), from a cell relaxed with GGA-PBE.

Cell and atoms:
```
data_Li2Tc2O5
_chemical_formula_sum 'Li2 Tc2 O5'
_cell_length_a 3.8088
_cell_length_b 3.8088
_cell_length_c 6.8064
_cell_angle_alpha 90.00
_cell_angle_beta 90.00
_cell_angle_gamma 90.00
_symmetry_space_group_name_H-M 'P 4/m m m'
_symmetry_Int_Tables_number 123
_symmetry_space_group_name_Hall '-P 4 2'
loop_
_atom_site_label
_atom_site_fract_x
_atom_site_fract_y
_atom_site_fract_z
_atom_site_occupancy
Li1 0.0000 0.0000 0.0000 1
Li2 0.0000 0.0000 0.5000 1
Tc1 0.5000 0.5000 0.2061 1
O1 0.0000 0.5000 0.1991 1
O2 0.5000 0.5000 0.5000 1
```

Top 6 peaks for 10 to 80 degrees two-theta, sorted by position:
Position (°2θ), Rel. int., (hkl)
23.36, 100, 1 0 0
26.19, 34, 0 0 2
33.27, 24, 1 1 0
35.37, 42, 1 0 2
47.76, 27, 2 0 0
53.83, 21, 2 1 0


Entry 10:
Calculated powder X-ray diffraction pattern of AgHgPO for λ = 1.5418 Å (Cu Kα), from a cell relaxed with GGA-PBE.

Cell and atoms:
```
data_AgHgPO
_chemical_formula_sum 'Ag2 Hg2 P2 O2'
_cell_length_a 4.3885
_cell_length_b 4.3885
_cell_length_c 7.8759
_cell_angle_alpha 90.00
_cell_angle_beta 90.00
_cell_angle_gamma 90.00
_symmetry_space_group_name_H-M 'P 4/n m m'
_symmetry_Int_Tables_number 129
loop_
_symmetry_equiv_pos_as_xyz
'x,y,z'
'-x,-y,-z'
'-y+1/2,x,z'
'y+1/2,-x,-z'
'-x+1/2,-y+1/2,z'
'x+1/2,y+1/2,-z'
'y,-x+1/2,z'
'-y,x+1/2,-z'
'x+1/2,-y,-z'
'-x+1/2,y,z'
'-y,-x,-z'
'y,x,z'
'-x,y+1/2,-z'
'x,-y+1/2,z'
'y+1/2,x+1/2,-z'
'-y+1/2,-x+1/2,z'
loop_
_atom_site_label
_atom_site_fract_x
_atom_site_fract_y
_atom_site_fract_z
_atom_site_occupancy
Ag1 0.2500 0.7500 0.0000 1
Hg1 0.2500 0.2500 0.4204 1
P1 0.2500 0.2500 0.8484 1
O1 0.2500 0.7500 0.5000 1
```

Top 6 peaks for 10 to 80 degrees two-theta, sorted by position:
Position (°2θ), Rel. int., (hkl)
22.58, 45, 0 0 2
30.50, 64, 1 0 2
30.97, 100, 1 1 1
40.02, 29, 1 0 3
41.14, 47, 2 0 0
52.07, 29, 2 1 2


Entry 11:
Calculated powder X-ray diffraction pattern of SrSmSi3Au for λ = 1.5418 Å (Cu Kα), from a cell relaxed with GGA-PBE.

Cell and atoms:
```
data_SrSmSi3Au
_chemical_formula_sum 'Sr8 Sm8 Si24 Au8'
_cell_length_a 8.3224
_cell_length_b 8.7681
_cell_length_c 14.5229
_cell_angle_alpha 90.00
_cell_angle_beta 90.00
_cell_angle_gamma 90.00
_symmetry_space_group_name_H-M 'F m m m'
_symmetry_Int_Tables_number 69
_symmetry_space_group_name_Hall '-F 2 2'
loop_
_atom_site_label
_atom_site_fract_x
_atom_site_fract_y
_atom_site_fract_z
_atom_site_occupancy
Sr1 0.2500 0.2500 0.2500 1
Sm1 0.0000 0.2414 0.0000 1
Si1 0.0000 0.0000 0.1613 1
Si2 0.2460 0.0000 0.0800 1
Au1 0.0000 0.0000 0.3344 1
```

Top 6 peaks for 10 to 80 degrees two-theta, sorted by position:
Position (°2θ), Rel. int., (hkl)
21.35, 25, 2 0 0
23.56, 47, 1 1 3
32.01, 52, 0 2 4
32.12, 100, 2 2 2
43.24, 42, 2 0 6
61.24, 29, 2 4 6


Entry 12:
Calculated powder X-ray diffraction pattern of BaYIn2Pd4 for λ = 1.5418 Å (Cu Kα), from a cell relaxed with GGA-PBE.

Cell and atoms:
```
data_BaYIn2Pd4
_chemical_formula_sum 'Ba1 Y1 In2 Pd4'
_cell_length_a 4.6474
_cell_length_b 4.6474
_cell_length_c 9.7850
_cell_angle_alpha 90.00
_cell_angle_beta 90.00
_cell_angle_gamma 120.00
_symmetry_space_group_name_H-M 'P -6 m 2'
_symmetry_Int_Tables_number 187
_symmetry_space_group_name_Hall 'P -6 2'
loop_
_atom_site_label
_atom_site_fract_x
_atom_site_fract_y
_atom_site_fract_z
_atom_site_occupancy
Ba1 0.0000 0.0000 0.0000 1
Y1 0.3333 0.6667 0.5000 1
In1 0.6667 0.3333 0.2754 1
Pd1 0.0000 0.0000 0.3491 1
Pd2 0.3333 0.6667 0.2088 1
```

Top 6 peaks for 10 to 80 degrees two-theta, sorted by position:
Position (°2θ), Rel. int., (hkl)
18.13, 19, 0 0 2
28.72, 35, 1 0 2
35.42, 83, 1 0 3
38.75, 100, 1 1 0
53.50, 25, 2 0 3
68.00, 24, 2 1 3


Entry 13:
Calculated powder X-ray diffraction pattern of Sm2Ni2B2CN for λ = 1.5418 Å (Cu Kα), from a cell relaxed with GGA-PBE.

Cell and atoms:
```
data_Sm2Ni2B2CN
_chemical_formula_sum 'Sm2 Ni2 B2 C1 N1'
_cell_length_a 3.6405
_cell_length_b 3.6405
_cell_length_c 7.4837
_cell_angle_alpha 90.00
_cell_angle_beta 90.00
_cell_angle_gamma 90.00
_symmetry_space_group_name_H-M 'P 4 m m'
_symmetry_Int_Tables_number 99
loop_
_symmetry_equiv_pos_as_xyz
'x,y,z'
'-y,x,z'
'-x,-y,z'
'y,-x,z'
'-x,y,z'
'y,x,z'
'x,-y,z'
'-y,-x,z'
loop_
_atom_site_label
_atom_site_fract_x
_atom_site_fract_y
_atom_site_fract_z
_atom_site_occupancy
Sm1 0.0000 0.0000 0.0000 1
Sm2 0.5000 0.5000 0.3395 1
Ni1 0.0000 0.5000 0.6631 1
B1 0.0000 0.0000 0.5182 1
B2 0.5000 0.5000 0.8069 1
C1 0.5000 0.5000 0.0074 1
N1 0.0000 0.0000 0.3242 1
```

Top 6 peaks for 10 to 80 degrees two-theta, sorted by position:
Position (°2θ), Rel. int., (hkl)
27.24, 100, 1 0 1
34.37, 65, 1 0 2
36.00, 45, 0 0 3
36.93, 68, 1 1 1
42.63, 54, 1 1 2
50.11, 39, 2 0 0


Entry 14:
Calculated powder X-ray diffraction pattern of KCuS2 for λ = 1.5418 Å (Cu Kα), from a cell relaxed with GGA-PBE.

Cell and atoms:
```
data_KCuS2
_chemical_formula_sum 'K4 Cu4 S8'
_cell_length_a 7.6644
_cell_length_b 9.0821
_cell_length_c 5.2784
_cell_angle_alpha 90.00
_cell_angle_beta 110.27
_cell_angle_gamma 90.00
_symmetry_space_group_name_H-M 'C 1 2/c 1'
_symmetry_Int_Tables_number 15
loop_
_symmetry_equiv_pos_as_xyz
'x,y,z'
'-x,-y,-z'
'-x,y,-z+1/2'
'x,-y,z+1/2'
'x+1/2,y+1/2,z'
'-x+1/2,-y+1/2,-z'
'-x+1/2,y+1/2,-z+1/2'
'x+1/2,-y+1/2,z+1/2'
loop_
_atom_site_label
_atom_site_fract_x
_atom_site_fract_y
_atom_site_fract_z
_atom_site_occupancy
K1 0.0000 0.1336 0.2500 1
Cu1 0.0000 0.4565 0.7500 1
S1 0.2310 0.3588 0.0846 1
```

Top 6 peaks for 10 to 80 degrees two-theta, sorted by position:
Position (°2θ), Rel. int., (hkl)
15.72, 52, 1 1 0
27.00, 29, 1 1 1
32.01, 100, 2 2 -1
36.25, 39, 2 0 -2
45.60, 31, 1 3 -2
56.96, 24, 1 5 1